1.
Calculated powder diffraction line list of LiCdAgBr4 for Cu Kα, from DFT lattice parameters and positions (GGA-PBE).

Main lines, by angle (2θ from 15° to 90°):
25.3°, rel. 31; 30.7°, rel. 49; 30.8°, rel. 100; 43.7°, rel. 19; 44.0°, rel. 73; 44.5°, rel. 18; 54.3°, rel. 18; 55.0°, rel. 18; 72.7°, rel. 15; 80.5°, rel. 17

Atomic structure:
```
LiCdAgBr4
1.0
-4.076 4.142 5.834
4.076 -4.142 5.834
4.076 4.142 -5.834
Li Cd Ag Br
2 2 2 8
Cartesian
0.000 2.071 1.642
4.076 2.071 4.192
4.076 0.000 0.000
0.000 0.000 5.834
2.038 2.071 -2.917
2.038 -2.071 2.917
4.076 -0.071 2.775
2.108 2.071 0.038
6.044 2.071 0.038
4.076 4.072 -2.775
0.000 0.071 8.608
-1.968 2.071 5.796
1.968 2.071 5.796
0.000 4.213 3.059
```

2.
Calculated powder diffraction line list of Li2AlGa3 for Cu Kα, from DFT lattice parameters and positions (GGA-PBE).

Main lines, by angle (2θ from 15° to 90°):
22.8°, rel. 88; 23.8°, rel. 52; 29.4°, rel. 100; 37.5°, rel. 66; 38.2°, rel. 40; 39.4°, rel. 53; 41.2°, rel. 96; 49.9°, rel. 45; 51.4°, rel. 84; 76.3°, rel. 36

Atomic structure:
```
Li2AlGa3
1.0
3.037 0.000 0.000
0.000 4.575 0.000
0.000 0.000 7.488
Li Al Ga
2 1 3
Cartesian
0.000 0.000 0.000
0.000 2.287 3.700
1.518 2.287 6.189
1.518 0.000 2.456
1.518 0.000 5.019
1.518 2.287 1.270
```

3.
Calculated powder diffraction line list of La7Er3Tm for Cu Kα, from DFT lattice parameters and positions (GGA-PBE).

Main lines, by angle (2θ from 15° to 90°):
24.3°, rel. 25; 29.8°, rel. 100; 30.8°, rel. 52; 31.5°, rel. 33; 31.7°, rel. 98; 31.9°, rel. 78; 32.0°, rel. 77; 43.4°, rel. 41; 43.9°, rel. 26; 54.2°, rel. 35

Atomic structure:
```
La7Er3Tm
1.0
6.417 -5.800 0.000
6.417 5.800 0.000
-2.794 0.000 5.308
La Er Tm
7 3 1
Cartesian
0.000 0.000 0.000
3.099 2.485 1.640
1.516 0.000 4.207
6.941 2.485 3.668
3.099 -2.485 1.640
8.525 0.000 1.100
6.941 -2.485 3.668
6.417 2.383 0.000
5.020 0.000 2.654
6.417 -2.383 0.000
-1.397 0.000 2.654
```

4.
Calculated powder diffraction line list of BaHfAg2S4 for Cu Kα, from DFT lattice parameters and positions (GGA-PBE).

Main lines, by angle (2θ from 15° to 90°):
15.9°, rel. 28; 24.0°, rel. 34; 26.9°, rel. 25; 27.9°, rel. 100; 36.4°, rel. 47; 42.7°, rel. 14; 44.6°, rel. 30; 47.0°, rel. 18; 48.2°, rel. 24; 56.9°, rel. 14

Atomic structure:
```
BaHfAg2S4
1.0
-3.311 3.713 4.202
3.311 -3.713 4.202
3.311 3.713 -4.202
Ba Hf Ag S
1 1 2 4
Cartesian
0.000 0.000 0.000
0.000 0.000 4.202
3.311 0.000 2.737
0.000 3.713 1.465
1.311 -1.430 2.772
2.000 2.283 1.430
2.000 5.143 -1.430
1.311 1.430 5.632
```

What did the first record say?
Calculated powder diffraction line list of LiCdAgBr4 for Cu Kα, from DFT lattice parameters and positions (GGA-PBE).

Main lines, by angle (2θ from 15° to 90°):
25.3°, rel. 31; 30.7°, rel. 49; 30.8°, rel. 100; 43.7°, rel. 19; 44.0°, rel. 73; 44.5°, rel. 18; 54.3°, rel. 18; 55.0°, rel. 18; 72.7°, rel. 15; 80.5°, rel. 17

Atomic structure:
```
LiCdAgBr4
1.0
-4.076 4.142 5.834
4.076 -4.142 5.834
4.076 4.142 -5.834
Li Cd Ag Br
2 2 2 8
Cartesian
0.000 2.071 1.642
4.076 2.071 4.192
4.076 0.000 0.000
0.000 0.000 5.834
2.038 2.071 -2.917
2.038 -2.071 2.917
4.076 -0.071 2.775
2.108 2.071 0.038
6.044 2.071 0.038
4.076 4.072 -2.775
0.000 0.071 8.608
-1.968 2.071 5.796
1.968 2.071 5.796
0.000 4.213 3.059
```